1.
# MgMnO2
Computed XRD peak list, copper Kα. Input: DFT lattice parameters and positions (GGA+U).

Crystal structure
a b c (Å): 7.5929 3.0987 7.6163
angles (deg): 90.00 109.43 90.00
Positions (direct):
Mg  0.0615  0.2500  0.1827
Mg  0.3099  0.2500  0.9378
Mg  0.6901  0.7500  0.0622
Mg  0.9385  0.7500  0.8173
Mn  0.1852  0.7500  0.5630
Mn  0.4365  0.7500  0.3056
Mn  0.5635  0.2500  0.6944
Mn  0.8148  0.2500  0.4370
O  0.0623  0.2500  0.6999
O  0.1817  0.7500  0.0558
O  0.3056  0.2500  0.4289
O  0.4360  0.7500  0.8241
O  0.5640  0.2500  0.1759
O  0.6944  0.7500  0.5711
O  0.8183  0.2500  0.9442
O  0.9377  0.7500  0.3001

Largest 10 diffraction maxima, by intensity, 2θ from 10° to 80°:
41.14 deg, intensity 1000
59.66 deg, intensity 286
35.42 deg, intensity 286
59.52 deg, intensity 283
12.33 deg, intensity 173
75.03 deg, intensity 130
35.47 deg, intensity 95
31.43 deg, intensity 89
71.35 deg, intensity 83
71.23 deg, intensity 70

---

2.
# FeH12PtCl6O6
Computed XRD peak list, copper Kα. Input: DFT lattice parameters and positions (GGA+U).

Crystal structure
a b c (Å): 7.1985 9.5437 10.7886
angles (deg): 90.04 90.07 100.16
Positions (direct):
Fe  0.0000  0.0000  0.0000
Fe  0.9997  0.5004  0.5005
H  0.0515  0.2720  0.0995
H  0.0530  0.7708  0.5992
H  0.1540  0.2597  0.4579
H  0.1564  0.7599  0.9559
H  0.1709  0.2102  0.8418
H  0.1734  0.7132  0.3379
H  0.1977  0.0629  0.7811
H  0.1994  0.5662  0.2784
H  0.2828  0.5210  0.6774
H  0.2881  0.0200  0.1768
H  0.3720  0.6114  0.5612
H  0.3731  0.1127  0.0617
H  0.6265  0.8875  0.9388
H  0.6275  0.3889  0.4393
H  0.7113  0.9801  0.8236
H  0.7167  0.4792  0.3231
H  0.7998  0.4338  0.7222
H  0.8018  0.9374  0.2192
H  0.8261  0.2870  0.6624
H  0.8286  0.7901  0.1585
H  0.8431  0.2401  0.0445
H  0.8451  0.7407  0.5427
H  0.9461  0.2297  0.4014
H  0.9480  0.7281  0.9009
Pt  0.4997  0.0000  0.5002
Pt  0.4997  0.5000  0.0002
Cl  0.2259  0.4492  0.8773
Cl  0.2260  0.9524  0.3773
Cl  0.3267  0.9004  0.6732
Cl  0.3290  0.3992  0.1736
Cl  0.4239  0.7228  0.0511
Cl  0.4259  0.2237  0.5506
Cl  0.5735  0.7765  0.4498
Cl  0.5754  0.2773  0.9494
Cl  0.6703  0.6009  0.8269
Cl  0.6727  0.0997  0.3272
Cl  0.7734  0.0478  0.6231
Cl  0.7734  0.5509  0.1232
O  0.0528  0.3053  0.4235
O  0.0540  0.8046  0.9218
O  0.1173  0.1080  0.8368
O  0.1168  0.6118  0.3319
O  0.2721  0.5328  0.5872
O  0.2783  0.0302  0.0864
O  0.7212  0.9699  0.9140
O  0.7274  0.4675  0.4134
O  0.8823  0.8923  0.1635
O  0.8826  0.3884  0.6686
O  0.9457  0.1956  0.0783
O  0.9462  0.6952  0.5776

Largest 10 diffraction maxima, by intensity, 2θ from 10° to 80°:
16.46 deg, intensity 1000
18.87 deg, intensity 646
12.49 deg, intensity 561
30.17 deg, intensity 458
30.26 deg, intensity 227
20.72 deg, intensity 179
41.88 deg, intensity 161
41.95 deg, intensity 138
38.53 deg, intensity 134
25.14 deg, intensity 128

---

3.
# Nb6Ni6O
Computed XRD peak list, copper Kα. Input: DFT lattice parameters and positions (GGA+U).

Crystal structure
a b c (Å): 7.8849 7.8849 7.8849
angles (deg): 60.00 60.00 60.00
Positions (direct):
Nb  0.0748  0.0748  0.6752
Nb  0.0748  0.6752  0.0748
Nb  0.0748  0.6752  0.6752
Nb  0.3248  0.3248  0.9252
Nb  0.3248  0.9252  0.3248
Nb  0.3248  0.9252  0.9252
Nb  0.6752  0.0748  0.0748
Nb  0.6752  0.0748  0.6752
Nb  0.6752  0.6752  0.0748
Nb  0.9252  0.3248  0.3248
Nb  0.9252  0.3248  0.9252
Nb  0.9252  0.9252  0.3248
Ni  0.0000  0.5000  0.5000
Ni  0.2939  0.2939  0.2939
Ni  0.2939  0.2939  0.6183
Ni  0.2939  0.6183  0.2939
Ni  0.3817  0.7061  0.7061
Ni  0.5000  0.0000  0.5000
Ni  0.5000  0.5000  0.0000
Ni  0.5000  0.5000  0.5000
Ni  0.6183  0.2939  0.2939
Ni  0.7061  0.3817  0.7061
Ni  0.7061  0.7061  0.3817
Ni  0.7061  0.7061  0.7061
O  0.1250  0.1250  0.1250
O  0.8750  0.8750  0.8750

Largest 10 diffraction maxima, by intensity, 2θ from 10° to 80°:
42.11 deg, intensity 1000
46.04 deg, intensity 386
39.59 deg, intensity 335
71.84 deg, intensity 315
35.08 deg, intensity 132
32.11 deg, intensity 92
73.56 deg, intensity 92
68.93 deg, intensity 83
49.01 deg, intensity 77
64.15 deg, intensity 71

---

4.
# FeCo2BO5
Computed XRD peak list, copper Kα. Input: DFT lattice parameters and positions (GGA+U).

Crystal structure
a b c (Å): 9.4177 12.4158 3.0723
angles (deg): 90.00 90.00 90.00
Positions (direct):
Fe  0.2404  0.1148  0.0000
Fe  0.2596  0.6148  0.0000
Fe  0.7404  0.3852  0.0000
Fe  0.7596  0.8852  0.0000
Co  0.0000  0.0000  0.5000
Co  0.0000  0.5000  0.0000
Co  0.0008  0.7196  0.5000
Co  0.4992  0.2196  0.5000
Co  0.5000  0.0000  0.0000
Co  0.5000  0.5000  0.5000
Co  0.5008  0.7804  0.5000
Co  0.9992  0.2804  0.5000
B  0.2285  0.8614  0.0000
B  0.2715  0.3614  0.0000
B  0.7285  0.6386  0.0000
B  0.7715  0.1386  0.0000
O  0.1081  0.1434  0.5000
O  0.1185  0.5784  0.5000
O  0.1241  0.3603  0.0000
O  0.1528  0.9579  0.0000
O  0.1552  0.7638  0.0000
O  0.3448  0.2638  0.0000
O  0.3472  0.4579  0.0000
O  0.3759  0.8603  0.0000
O  0.3815  0.0784  0.5000
O  0.3919  0.6434  0.5000
O  0.6081  0.3566  0.5000
O  0.6185  0.9216  0.5000
O  0.6241  0.1397  0.0000
O  0.6528  0.5421  0.0000
O  0.6552  0.7362  0.0000
O  0.8448  0.2362  0.0000
O  0.8472  0.0421  0.0000
O  0.8759  0.6397  0.0000
O  0.8815  0.4216  0.5000
O  0.8919  0.8566  0.5000

Largest 10 diffraction maxima, by intensity, 2θ from 10° to 80°:
34.61 deg, intensity 1000
34.87 deg, intensity 820
17.11 deg, intensity 539
46.84 deg, intensity 394
61.13 deg, intensity 337
37.69 deg, intensity 321
43.73 deg, intensity 316
57.57 deg, intensity 256
41.78 deg, intensity 248
60.24 deg, intensity 240